Structure and theoretical XRD peak list of Ti4Ag2O9 (a DFT-relaxed cell (PBE, Alexandria); Cu Kα, 1.54184 Å).
Neutral-atom scattering factors, no anomalous dispersion.

Largest 10 diffraction maxima, sorted by position, 5 to 70 degrees two-theta:
d [Å]  I/Imax
11.591  38.9
3.109  100.0
2.897  87.3
2.868  84.2
2.759  58.8
2.358  51.0
2.319  49.7
1.872  44.6
1.738  43.7
1.708  44.4

Structural model:
abc: 17.844 3.743 12.348
angles: 90.00 110.17 90.00
Space group C2/m (No. 12)
Asymmetric unit:
1 Ti 0.117 0.000 0.357
2 Ti 0.156 0.000 0.119
3 Ti 0.198 0.000 0.892
4 Ti 0.242 0.000 0.664
5 Ag 0.017 0.500 0.883
6 Ag 0.058 0.500 0.664
7 O 0.021 0.000 0.362
8 O 0.071 0.000 0.165
9 O 0.113 0.000 0.951
10 O 0.147 0.500 0.345
11 O 0.155 0.000 0.735
12 O 0.180 0.000 0.520
13 O 0.189 0.500 0.134
14 O 0.229 0.500 0.922
15 O 0.231 0.000 0.294